Record 1
Structure and calculated powder diffractogram of Tb7Sm12Dy (DFT lattice parameters and positions (PBE); Cu Kα X-rays).

Cell and atoms:
```
Tb7Sm12Dy
1.0
9.7945 5.6549 2.0609
-9.7945 5.6549 2.0609
0.0000 -11.3098 2.0609
Tb Sm Dy
7 12 1
direct
0.0000 0.0000 0.0000 Tb
0.1279 0.3736 0.3736 Tb
0.3736 0.1279 0.3736 Tb
0.3736 0.3736 0.1279 Tb
0.6264 0.6264 0.8721 Tb
0.6264 0.8721 0.6264 Tb
0.8721 0.6264 0.6264 Tb
0.0000 0.4131 0.5869 Sm
0.0000 0.5869 0.4131 Sm
0.0873 0.0873 0.4416 Sm
0.0873 0.4416 0.0873 Sm
0.4131 0.0000 0.5869 Sm
0.4131 0.5869 0.0000 Sm
0.4416 0.0873 0.0873 Sm
0.5584 0.9127 0.9127 Sm
0.5869 0.0000 0.4131 Sm
0.5869 0.4131 0.0000 Sm
0.9127 0.5584 0.9127 Sm
0.9127 0.9127 0.5584 Sm
0.5000 0.5000 0.5000 Dy
```

Principal peaks in the range 10 to 90 degrees two-theta, sorted by position:
2θ (°)  I (rel.)
27.32  43
30.04  100
30.78  43
32.77  47
32.97  46
39.43  39

=====

Record 2
Structure and calculated powder diffractogram of CaPaIr2O8 (DFT lattice parameters and positions (PBE); Cu Kα X-rays).

Cell and atoms:
```
CaPaIr2O8
1.0
5.7116 0.0000 0.0000
-2.8558 4.9464 0.0000
0.0000 0.0000 6.6377
Ca Pa Ir O
1 1 2 8
direct
0.0000 0.0000 0.0000 Ca
0.0000 0.0000 0.5000 Pa
0.3333 0.6667 0.4417 Ir
0.6667 0.3333 0.5583 Ir
0.0769 0.3804 0.6386 O
0.3035 0.9231 0.6386 O
0.3333 0.6667 0.1657 O
0.3804 0.3035 0.3614 O
0.6196 0.6965 0.6386 O
0.6667 0.3333 0.8343 O
0.6965 0.0769 0.3614 O
0.9231 0.6196 0.3614 O
```

Principal peaks in the range 10 to 90 degrees two-theta, sorted by position:
2θ (°)  I (rel.)
13.34  100
26.86  15
31.32  48
34.18  46
41.73  32
55.75  17

=====

Record 3
Structure and calculated powder diffractogram of CsTeRuO6 (DFT lattice parameters and positions (PBE); Cu Kα X-rays).

Cell and atoms:
```
CsTeRuO6
1.0
5.2925 0.0000 0.0000
-2.6463 4.5835 0.0000
0.0000 0.0000 6.8561
Cs Te Ru O
1 1 1 6
direct
0.0000 0.0000 0.0000 Cs
0.6667 0.3333 0.5000 Te
0.3333 0.6667 0.5000 Ru
0.3857 0.0006 0.6614 O
0.3857 0.3851 0.3386 O
0.6149 0.0006 0.3386 O
0.6149 0.6143 0.6614 O
0.9994 0.3851 0.6614 O
0.9994 0.6143 0.3386 O
```

Principal peaks in the range 10 to 90 degrees two-theta, sorted by position:
2θ (°)  I (rel.)
12.91  25
23.35  100
25.99  19
33.87  29
43.19  43
54.64  18

=====

Record 4
Structure and calculated powder diffractogram of Hf3Sb2 (DFT lattice parameters and positions (PBE); Cu Kα X-rays).

Cell and atoms:
```
Hf3Sb2
1.0
4.1739 2.4098 5.6938
-4.1739 2.4098 5.6938
0.0000 -4.8196 5.6938
Hf Sb
9 6
direct
0.0000 0.0000 0.0000 Hf
0.1706 0.1706 0.1706 Hf
0.1943 0.4267 0.6598 Hf
0.3402 0.8057 0.5733 Hf
0.4267 0.6598 0.1943 Hf
0.5733 0.3402 0.8057 Hf
0.6598 0.1943 0.4267 Hf
0.8057 0.5733 0.3402 Hf
0.8294 0.8294 0.8294 Hf
0.0045 0.8096 0.4195 Sb
0.1904 0.5805 0.9955 Sb
0.4195 0.0045 0.8096 Sb
0.5805 0.9955 0.1904 Sb
0.8096 0.4195 0.0045 Sb
0.9955 0.1904 0.5805 Sb
```

Principal peaks in the range 10 to 90 degrees two-theta, sorted by position:
2θ (°)  I (rel.)
33.20  100
34.46  82
37.31  42
38.27  95
39.14  66
54.53  36

=====

Record 5
Structure and calculated powder diffractogram of K2CeOsO8 (DFT lattice parameters and positions (PBE); Cu Kα X-rays).

Cell and atoms:
```
K2CeOsO8
1.0
5.4421 0.0000 0.0000
-0.0215 5.4638 0.0000
-0.0449 -0.0306 6.5441
K Ce Os O
2 1 1 8
direct
0.0017 0.0001 0.2626 K
0.9983 0.9999 0.7374 K
0.5000 0.5000 0.0000 Ce
0.5000 0.5000 0.5000 Os
0.2814 0.4085 0.2752 O
0.2823 0.4063 0.7214 O
0.3598 0.7965 0.5017 O
0.3985 0.9188 0.9998 O
0.6015 0.0812 0.0002 O
0.6402 0.2035 0.4983 O
0.7177 0.5937 0.2786 O
0.7186 0.5915 0.7248 O
```

Principal peaks in the range 10 to 90 degrees two-theta, sorted by position:
2θ (°)  I (rel.)
16.26  100
23.07  84
31.81  36
31.99  36
32.78  20
46.33  37

=====

Record 6
Structure and calculated powder diffractogram of NaIn6Cu6 (DFT lattice parameters and positions (PBE); Cu Kα X-rays).

Cell and atoms:
```
NaIn6Cu6
1.0
-2.7471 4.6200 4.6466
2.7471 -4.6200 4.6466
2.7471 4.6200 -4.6466
Na In Cu
1 6 6
direct
0.0000 0.0000 0.0000 Na
0.1757 0.6757 0.5000 In
0.3359 0.0000 0.3359 In
0.3381 0.3381 0.0000 In
0.6619 0.6619 0.0000 In
0.6641 0.0000 0.6641 In
0.8243 0.3243 0.5000 In
0.0000 0.0000 0.5000 Cu
0.0000 0.5000 0.0000 Cu
0.2437 0.5000 0.7437 Cu
0.5000 0.0000 0.0000 Cu
0.5000 0.5000 0.5000 Cu
0.7563 0.5000 0.2563 Cu
```

Principal peaks in the range 10 to 90 degrees two-theta, sorted by position:
2θ (°)  I (rel.)
33.20  63
38.09  58
38.66  89
38.99  36
42.97  100
43.61  82

=====

Record 7
Structure and calculated powder diffractogram of Tb3InGe2 (DFT lattice parameters and positions (PBE); Cu Kα X-rays).

Cell and atoms:
```
Tb3InGe2
1.0
-2.1678 2.1777 7.8814
2.1678 -2.1777 7.8814
2.1678 2.1777 -7.8814
Tb In Ge
3 1 2
direct
0.0000 0.0000 0.0000 Tb
0.3249 0.8249 0.5000 Tb
0.6751 0.1751 0.5000 Tb
0.5000 0.5000 0.0000 In
0.1393 0.6393 0.5000 Ge
0.8607 0.3607 0.5000 Ge
```

Principal peaks in the range 10 to 90 degrees two-theta, sorted by position:
2θ (°)  I (rel.)
31.24  100
34.13  35
35.18  23
37.10  70
41.46  27
41.66  26

=====

Record 8
Structure and calculated powder diffractogram of Li2LaTe (DFT lattice parameters and positions (PBE); Cu Kα X-rays).

Cell and atoms:
```
Li2LaTe
1.0
-2.2420 2.2420 11.3047
2.2420 -2.2420 11.3047
2.2420 2.2420 -11.3047
Li La Te
4 2 2
direct
0.0776 0.6250 0.9526 Li
0.3750 0.3276 0.4526 Li
0.6724 0.1250 0.0474 Li
0.8750 0.9224 0.5474 Li
0.2500 0.7500 0.5000 La
0.5000 0.5000 0.0000 La
0.0000 0.0000 0.0000 Te
0.7500 0.2500 0.5000 Te
```

Principal peaks in the range 10 to 90 degrees two-theta, sorted by position:
2θ (°)  I (rel.)
15.68  100
29.25  98
31.66  21
37.06  52
43.42  35
49.52  23

=====

Record 9
Structure and calculated powder diffractogram of PmTh4Rh4 (DFT lattice parameters and positions (PBE); Cu Kα X-rays).

Cell and atoms:
```
PmTh4Rh4
1.0
-4.5909 4.5909 2.8655
4.5909 -4.5909 2.8655
4.5909 4.5909 -2.8655
Pm Th Rh
1 4 4
direct
0.0000 0.0000 0.0000 Pm
0.1929 0.6000 0.7929 Th
0.4000 0.1929 0.5929 Th
0.6000 0.8071 0.4071 Th
0.8071 0.4000 0.2071 Th
0.1068 0.3004 0.4072 Rh
0.3004 0.8932 0.1936 Rh
0.6996 0.1068 0.8064 Rh
0.8932 0.6996 0.5928 Rh
```

Principal peaks in the range 10 to 90 degrees two-theta, sorted by position:
2θ (°)  I (rel.)
26.71  50
30.79  100
31.21  48
44.11  38
44.42  74
55.02  40

=====

Record 10
Structure and calculated powder diffractogram of VCrPBr (DFT lattice parameters and positions (PBE); Cu Kα X-rays).

Cell and atoms:
```
VCrPBr
1.0
3.7590 0.0000 0.0000
-1.8795 3.2554 0.0000
0.0000 0.0000 6.2320
V Cr P Br
1 1 1 1
direct
0.0000 0.0000 0.0000 V
0.3333 0.6667 0.7048 Cr
0.6667 0.3333 0.8368 P
0.3333 0.6667 0.2913 Br
```

Principal peaks in the range 10 to 90 degrees two-theta, sorted by position:
2θ (°)  I (rel.)
27.40  62
30.99  75
40.06  100
48.43  60
52.24  27
64.60  22